No. 1
This entry pairs a crystal structure of Na3Li3Mn2P2C2O14 with its calculated powder diffraction line list. Radiation: Cu Kα, 1.54184 Å. Structure: a cell relaxed with PBE+U.
Peak positions follow from Bragg's law for the DFT cell and can differ from measured ones.

Top 12 peaks for 2θ = 10–90°, low angle first:
(0 0 1), 10.0°, intensity 54.9
(1 0 -1), 20.1°, intensity 62.1
(1 0 -2), 26.6°, intensity 20.7
(0 2 0), 26.9°, intensity 100.0
(0 2 -2), 33.6°, intensity 12.6
(1 2 -1), 33.8°, intensity 16.1
(0 2 2), 34.0°, intensity 14.2
(2 0 0), 35.2°, intensity 49.4
(0 0 4), 41.0°, intensity 16.5
(-2 1 2), 43.1°, intensity 23.0
(0 2 4), 50.0°, intensity 14.5
(0 4 0), 55.4°, intensity 21.6

Crystal structure
abc: 5.1052 6.6356 8.8145
angles: 90.75 90.32 90.34
Space group P1 (No. 1)
Inequivalent atoms, fractional coordinates:
Na  0.0000  0.0000  0.0000 x1
Na  0.0052  0.7464  0.6608 x1
Na  0.4879  0.2559  0.8279 x1
Li  0.0132  0.4848  0.0138 x1
Li  0.4793  0.9874  0.4781 x1
Li  0.4806  0.5119  0.4785 x1
Mn  0.0252  0.2483  0.3862 x1
Mn  0.4688  0.7458  0.1067 x1
P  0.5478  0.2532  0.1604 x1
P  0.9500  0.7441  0.3342 x1
C  0.5103  0.7469  0.7971 x1
C  0.9802  0.2563  0.6900 x1
O  0.0461  0.7335  0.1675 x1
O  0.0490  0.5632  0.4281 x1
O  0.0566  0.9337  0.4199 x1
O  0.2098  0.2502  0.6261 x1
O  0.2830  0.7483  0.8629 x1
O  0.4347  0.4316  0.0692 x1
O  0.4491  0.2511  0.3275 x1
O  0.4641  0.0609  0.0699 x1
O  0.5270  0.7491  0.6492 x1
O  0.6421  0.7471  0.3327 x1
O  0.7202  0.7431  0.8814 x1
O  0.7711  0.2476  0.6041 x1
O  0.8536  0.2685  0.1643 x1
O  0.9607  0.2704  0.8366 x1

No. 2
This entry pairs a crystal structure of FeO2 with its calculated powder diffraction line list. Radiation: Cu Kα, 1.54184 Å. Structure: a cell relaxed with PBE+U.
Peak positions follow from Bragg's law for the DFT cell and can differ from measured ones.

Top 12 peaks for 2θ = 10–90°, low angle first:
(1 0 1), 21.3°, intensity 100.0
(3 0 1), 34.3°, intensity 34.5
(2 1 0), 35.1°, intensity 25.6
(1 1 1), 36.6°, intensity 45.6
(2 1 1), 40.3°, intensity 14.0
(3 1 1), 45.8°, intensity 8.8
(2 1 2), 53.2°, intensity 37.8
(4 0 2), 55.3°, intensity 16.8
(0 2 0), 61.0°, intensity 27.5
(6 1 0), 66.8°, intensity 10.9
(1 1 3), 68.7°, intensity 8.6
(4 2 2), 87.0°, intensity 7.8

Crystal structure
abc: 9.4759 3.0365 4.6529
angles: 90.00 90.00 90.00
Space group Pnma (No. 62)
Inequivalent atoms, fractional coordinates:
Fe  0.1394  0.2500  0.0062 x4
O  0.0403  0.7500  0.8033 x4
O  0.2144  0.7500  0.2390 x4

No. 3
This entry pairs a crystal structure of Li9Mn2Co5O16 with its calculated powder diffraction line list. Radiation: Cu Kα, 1.54184 Å. Structure: a cell relaxed with PBE+U.
Peak positions follow from Bragg's law for the DFT cell and can differ from measured ones.

Top 12 peaks for 2θ = 10–90°, low angle first:
(0 1 0), 18.3°, intensity 100.0
(1 0 -4), 35.2°, intensity 16.0
(2 -1 0), 36.1°, intensity 13.3
(1 0 4), 36.7°, intensity 11.9
(1 1 -4), 42.4°, intensity 29.7
(2 -2 0), 43.8°, intensity 27.4
(1 1 4), 44.6°, intensity 25.4
(1 -3 4), 62.5°, intensity 7.7
(-3 1 4), 62.7°, intensity 7.9
(2 2 0), 62.9°, intensity 7.5
(0 0 8), 63.6°, intensity 7.1
(-1 3 4), 63.7°, intensity 7.0

Crystal structure
abc: 5.0543 5.1179 11.7157
angles: 91.24 92.03 108.87
Space group P1 (No. 1)
Inequivalent atoms, fractional coordinates:
Li  0.0000  0.0000  0.0000 x1
Li  0.0005  0.0089  0.4945 x1
Li  0.0034  0.0077  0.2455 x1
Li  0.0048  0.0144  0.7594 x1
Li  0.0048  0.5134  0.8769 x1
Li  0.4959  0.0060  0.6256 x1
Li  0.5014  0.0044  0.8834 x1
Li  0.5040  0.0106  0.1227 x1
Li  0.5061  0.0116  0.3681 x1
Mn  0.5049  0.5125  0.7542 x1
Mn  0.9958  0.5008  0.6272 x1
Co  0.0099  0.5117  0.1175 x1
Co  0.4982  0.5033  0.4981 x1
Co  0.5025  0.5114  0.2450 x1
Co  0.5121  0.5171  0.9984 x1
Co  0.9965  0.5055  0.3691 x1
O  0.2283  0.7133  0.5051 x1
O  0.2365  0.2759  0.6331 x1
O  0.2396  0.7378  0.2510 x1
O  0.2553  0.7321  0.7397 x1
O  0.2594  0.2684  0.1324 x1
O  0.2651  0.2778  0.3832 x1
O  0.2664  0.7335  0.0038 x1
O  0.2980  0.2925  0.8692 x1
O  0.7362  0.7180  0.6240 x1
O  0.7401  0.7417  0.3727 x1
O  0.7418  0.7581  0.8632 x1
O  0.7435  0.7404  0.1220 x1
O  0.7479  0.2791  0.5035 x1
O  0.7503  0.2880  0.0058 x1
O  0.7548  0.2934  0.7390 x1
O  0.7644  0.2750  0.2544 x1